[1]
Diffraction record for BiIrRhO6. The PXRD pattern is simulated, not measured: it uses a cell relaxed with PBE and λ = 1.5418 Å (Cu Kα).

Principal peaks in the range 10° ≤ 2θ ≤ 80°, most intense first:
d (Å)	Rel. int.	index
3.382	100	1 1 0
2.705	92	1 0 3
1.792	69	2 1 3
2.392	27	2 0 0
1.434	19	3 0 3
1.476	18	1 1 6
1.513	17	3 1 0
1.230	16	3 2 3
1.691	16	2 2 0
4.302	10	1 0 1
1.353	10	2 0 6
1.640	8	0 0 6

Atomic structure:
```
data_BiIrRhO6
_symmetry_space_group_name_H-M 'P 42 n m'
_symmetry_Int_Tables_number 102
_cell_length_a 4.7832
_cell_length_b 4.7832
_cell_length_c 9.8399
_cell_angle_alpha 90.00
_cell_angle_beta 90.00
_cell_angle_gamma 90.00
loop_
_symmetry_equiv_pos_as_xyz
'x,y,z'
'-y+1/2,x+1/2,z+1/2'
'-x,-y,z'
'y+1/2,-x+1/2,z+1/2'
'-x+1/2,y+1/2,z+1/2'
'y,x,z'
'x+1/2,-y+1/2,z+1/2'
'-y,-x,z'
loop_
_atom_site_label
_atom_site_fract_x
_atom_site_fract_y
_atom_site_fract_z
Bi1 0.0000 0.0000 0.0000
Ir1 0.0000 0.0000 0.3322
Rh1 0.0000 0.0000 0.6674
O1 0.1727 0.1727 0.4983
O2 0.1989 0.1989 0.1791
O3 0.2090 0.2090 0.8216
```

[2]
Diffraction record for Tb2BiIrO8. The PXRD pattern is simulated, not measured: it uses a cell relaxed with PBE and λ = 1.5418 Å (Cu Kα).

Principal peaks in the range 10° ≤ 2θ ≤ 80°, most intense first:
d (Å)	Rel. int.	index
2.809	100	1 1 2
3.616	59	0 2 0
3.525	53	2 0 0
1.891	41	1 3 2
1.864	36	3 1 2
2.524	32	2 2 0
1.506	22	3 3 2
1.404	11	2 2 4
1.584	10	4 2 0
1.531	10	0 2 4
1.307	10	1 5 2
1.609	9	2 4 0

Atomic structure:
```
data_Tb2BiIrO8
_symmetry_space_group_name_H-M 'C m m m'
_symmetry_Int_Tables_number 65
_symmetry_space_group_name_Hall '-C 2 2'
_cell_length_a 7.0499
_cell_length_b 7.2317
_cell_length_c 6.7607
_cell_angle_alpha 90.00
_cell_angle_beta 90.00
_cell_angle_gamma 90.00
loop_
_atom_site_label
_atom_site_fract_x
_atom_site_fract_y
_atom_site_fract_z
Tb1 0.0000 0.0000 0.2447
Bi1 0.0000 0.5000 0.5000
Ir1 0.0000 0.5000 0.0000
O1 0.0000 0.3203 0.2238
O2 0.1955 0.0000 0.5000
O3 0.2263 0.0000 0.0000
```

[3]
Diffraction record for Y2BiIrO8. The PXRD pattern is simulated, not measured: it uses a cell relaxed with PBE and λ = 1.5418 Å (Cu Kα).

Principal peaks in the range 10° ≤ 2θ ≤ 80°, most intense first:
d (Å)	Rel. int.	index
2.802	100	1 1 2
3.610	62	0 2 0
3.514	55	2 0 0
1.887	43	1 3 2
1.859	38	3 1 2
5.036	36	1 1 0
2.518	30	2 2 0
1.503	23	3 3 2
2.465	13	0 2 2
1.401	11	2 2 4
1.580	10	4 2 0
1.528	10	0 2 4

Atomic structure:
```
data_Y2BiIrO8
_symmetry_space_group_name_H-M 'C m m m'
_symmetry_Int_Tables_number 65
_symmetry_space_group_name_Hall '-C 2 2'
_cell_length_a 7.0275
_cell_length_b 7.2204
_cell_length_c 6.7455
_cell_angle_alpha 90.00
_cell_angle_beta 90.00
_cell_angle_gamma 90.00
loop_
_atom_site_label
_atom_site_fract_x
_atom_site_fract_y
_atom_site_fract_z
Y1 0.0000 0.0000 0.2447
Bi1 0.0000 0.5000 0.5000
Ir1 0.0000 0.5000 0.0000
O1 0.0000 0.3202 0.2242
O2 0.1952 0.0000 0.5000
O3 0.2250 0.0000 0.0000
```

Q: Number 3 is which compound?
A: Y2BiIrO8